Structure and simulated XRD peak list of K2Hg4F (a crystal structure in Alexandria, relaxed with PBE; Cu Kα).
Peak positions follow from Bragg's law for the DFT cell and can differ from measured ones.

Main lines, sorted by position (5° ≤ 2θ ≤ 70°):
| 2θ (°) | d/Å | I_rel |
| --- | --- | --- |
| 10.54 | 8.394 | 37.6 |
| 16.65 | 5.326 | 29.7 |
| 22.43 | 3.965 | 29.6 |
| 24.80 | 3.590 | 75.5 |
| 31.00 | 2.885 | 100.0 |
| 31.87 | 2.808 | 61.8 |
| 31.99 | 2.798 | 23.3 |
| 45.75 | 1.983 | 57.6 |
| 52.71 | 1.737 | 28.5 |
| 56.25 | 1.636 | 37.8 |

a = 5.6159 Å, b = 5.6159 Å, c = 16.7888 Å
α = 90.00°, β = 90.00°, γ = 90.00°
Positions (direct):
1 K 0.0000 0.0000 0.1445
2 K 0.0000 0.0000 0.8555
3 K 0.5000 0.5000 0.3555
4 K 0.5000 0.5000 0.6445
5 Hg 0.0000 0.0000 0.3513
6 Hg 0.0000 0.0000 0.6487
7 Hg 0.0000 0.5000 0.0000
8 Hg 0.0000 0.5000 0.5000
9 Hg 0.5000 0.0000 0.0000
10 Hg 0.5000 0.0000 0.5000
11 Hg 0.5000 0.5000 0.1487
12 Hg 0.5000 0.5000 0.8513
13 F 0.0000 0.0000 0.5000
14 F 0.5000 0.5000 0.0000

Structure and simulated XRD peak list of NpAg2Au8 (a crystal structure in Alexandria, relaxed with PBE; Cu Kα).
Peak positions follow from Bragg's law for the DFT cell and can differ from measured ones.

Main lines, sorted by position (5° ≤ 2θ ≤ 70°):
| 2θ (°) | d/Å | I_rel |
| --- | --- | --- |
| 33.40 | 2.683 | 32.2 |
| 37.60 | 2.392 | 74.5 |
| 38.08 | 2.363 | 77.2 |
| 38.49 | 2.339 | 100.0 |
| 38.89 | 2.316 | 53.9 |
| 39.82 | 2.264 | 36.1 |
| 40.63 | 2.220 | 22.2 |
| 51.16 | 1.786 | 19.7 |
| 67.62 | 1.385 | 17.7 |
| 68.45 | 1.371 | 18.9 |

a = 7.0777 Å, b = 7.0777 Å, c = 8.1720 Å
α = 121.49°, β = 121.49°, γ = 39.51°
Positions (direct):
1 Np 0.0000 0.0000 0.0000
2 Ag 0.3110 0.3110 0.2836
3 Ag 0.6890 0.6890 0.7164
4 Au 0.0712 0.0712 0.7133
5 Au 0.1868 0.1868 0.4915
6 Au 0.3244 0.3244 0.9426
7 Au 0.4461 0.4461 0.7143
8 Au 0.5539 0.5539 0.2857
9 Au 0.6756 0.6756 0.0574
10 Au 0.8132 0.8132 0.5085
11 Au 0.9288 0.9288 0.2867

Structure and simulated XRD peak list of CaDy2Si6 (a crystal structure in Alexandria, relaxed with PBE; Cu Kα).
Peak positions follow from Bragg's law for the DFT cell and can differ from measured ones.

Main lines, sorted by position (5° ≤ 2θ ≤ 70°):
| 2θ (°) | d/Å | I_rel |
| --- | --- | --- |
| 14.43 | 6.139 | 25.7 |
| 22.13 | 4.016 | 7.9 |
| 25.13 | 3.544 | 39.6 |
| 26.52 | 3.361 | 12.3 |
| 33.73 | 2.658 | 100.0 |
| 44.26 | 2.046 | 32.7 |
| 45.14 | 2.009 | 16.7 |
| 52.36 | 1.747 | 11.0 |
| 56.78 | 1.621 | 22.0 |
| 65.07 | 1.433 | 21.6 |

a = 7.0887 Å, b = 7.0887 Å, c = 4.0165 Å
α = 90.00°, β = 90.00°, γ = 120.00°
Positions (direct):
1 Ca 0.0000 0.0000 0.0000
2 Dy 0.3333 0.6667 0.0000
3 Dy 0.6667 0.3333 0.0000
4 Si 0.0000 0.3351 0.5000
5 Si 0.0000 0.6649 0.5000
6 Si 0.3351 0.0000 0.5000
7 Si 0.3351 0.3351 0.5000
8 Si 0.6649 0.0000 0.5000
9 Si 0.6649 0.6649 0.5000

Structure and simulated XRD peak list of NpScH (a crystal structure in Alexandria, relaxed with PBE; Cu Kα).
Peak positions follow from Bragg's law for the DFT cell and can differ from measured ones.

Main lines, sorted by position (5° ≤ 2θ ≤ 70°):
| 2θ (°) | d/Å | I_rel |
| --- | --- | --- |
| 12.49 | 7.089 | 100.0 |
| 25.13 | 3.544 | 23.2 |
| 31.28 | 2.859 | 13.1 |
| 34.38 | 2.608 | 20.7 |
| 38.08 | 2.363 | 13.1 |
| 41.03 | 2.200 | 12.3 |
| 42.37 | 2.133 | 18.7 |
| 46.25 | 1.963 | 14.6 |
| 53.14 | 1.723 | 8.8 |
| 53.36 | 1.717 | 9.7 |

a = 4.6749 Å, b = 14.1773 Å, c = 5.6104 Å
α = 90.00°, β = 90.00°, γ = 90.00°
Positions (direct):
1 Np 0.0821 0.0000 0.2014
2 Np 0.0821 0.5000 0.7014
3 Np 0.4179 0.0000 0.7014
4 Np 0.4179 0.5000 0.2014
5 Np 0.5821 0.0000 0.2986
6 Np 0.5821 0.5000 0.7986
7 Np 0.9179 0.0000 0.7986
8 Np 0.9179 0.5000 0.2986
9 Sc 0.0015 0.1712 0.4995
10 Sc 0.0015 0.3288 0.9995
11 Sc 0.4985 0.6712 0.4995
12 Sc 0.4985 0.8288 0.9995
13 Sc 0.5015 0.1712 0.0005
14 Sc 0.5015 0.3288 0.5005
15 Sc 0.9985 0.6712 0.0005
16 Sc 0.9985 0.8288 0.5005
17 H 0.2485 0.7502 0.2497
18 H 0.2485 0.7498 0.7497
19 H 0.2515 0.2502 0.2497
20 H 0.2515 0.2498 0.7497
21 H 0.7485 0.7502 0.2503
22 H 0.7485 0.7498 0.7503
23 H 0.7515 0.2502 0.2503
24 H 0.7515 0.2498 0.7503

Structure and simulated XRD peak list of Rb2CdP2Se6 (a crystal structure in Alexandria, relaxed with PBE; Cu Kα).
Peak positions follow from Bragg's law for the DFT cell and can differ from measured ones.

Main lines, sorted by position (5° ≤ 2θ ≤ 70°):
| 2θ (°) | d/Å | I_rel |
| --- | --- | --- |
| 13.00 | 6.812 | 48.0 |
| 26.17 | 3.406 | 28.3 |
| 26.66 | 3.344 | 32.9 |
| 28.05 | 3.181 | 92.8 |
| 30.75 | 2.908 | 46.4 |
| 30.98 | 2.886 | 100.0 |
| 31.07 | 2.879 | 31.9 |
| 35.48 | 2.530 | 41.1 |
| 39.81 | 2.264 | 25.7 |
| 48.29 | 1.885 | 33.5 |

a = 6.7460 Å, b = 12.7983 Å, c = 9.8519 Å
α = 90.00°, β = 125.25°, γ = 90.00°
Positions (direct):
1 Rb 0.2280 0.1792 0.4815
2 Rb 0.2280 0.3208 0.9815
3 Rb 0.7720 0.6792 0.0185
4 Rb 0.7720 0.8208 0.5185
5 Cd 0.5000 0.0000 0.0000
6 Cd 0.5000 0.5000 0.5000
7 P 0.1485 0.5389 0.6234
8 P 0.1485 0.9611 0.1234
9 P 0.8515 0.0389 0.8766
10 P 0.8515 0.4611 0.3766
11 Se 0.0311 0.0703 0.7515
12 Se 0.0311 0.4297 0.2515
13 Se 0.2651 0.6790 0.5572
14 Se 0.2651 0.8210 0.0572
15 Se 0.4491 0.0752 0.2547
16 Se 0.4491 0.4248 0.7547
17 Se 0.5509 0.5752 0.2453
18 Se 0.5509 0.9248 0.7453
19 Se 0.7349 0.1790 0.9428
20 Se 0.7349 0.3210 0.4428
21 Se 0.9689 0.5703 0.7485
22 Se 0.9689 0.9297 0.2485

Structure and simulated XRD peak list of LaNdY3Sc (a crystal structure in Alexandria, relaxed with PBE; Cu Kα).
Peak positions follow from Bragg's law for the DFT cell and can differ from measured ones.

Main lines, sorted by position (5° ≤ 2θ ≤ 70°):
| 2θ (°) | d/Å | I_rel |
| --- | --- | --- |
| 11.68 | 7.577 | 7.6 |
| 23.48 | 3.788 | 2.7 |
| 25.62 | 3.477 | 7.0 |
| 30.65 | 2.917 | 100.0 |
| 35.54 | 2.526 | 50.1 |
| 43.03 | 2.102 | 2.3 |
| 51.14 | 1.786 | 34.7 |
| 60.78 | 1.524 | 27.0 |
| 60.86 | 1.522 | 13.6 |
| 63.82 | 1.458 | 11.7 |

a = 7.9856 Å, b = 7.9856 Å, c = 10.1179 Å
α = 90.00°, β = 90.00°, γ = 143.16°
Positions (direct):
1 La 0.0028 0.9972 0.7500
2 La 0.9972 0.0028 0.2500
3 Nd 0.5000 0.5000 0.0000
4 Nd 0.5000 0.5000 0.5000
5 Y 0.1689 0.8311 0.9996
6 Y 0.1689 0.8311 0.5004
7 Y 0.3287 0.6713 0.7500
8 Y 0.6713 0.3287 0.2500
9 Y 0.8311 0.1689 0.0004
10 Y 0.8311 0.1689 0.4996
11 Sc 0.3305 0.6695 0.2500
12 Sc 0.6695 0.3305 0.7500

Structure and simulated XRD peak list of Ti5Al2Ga (a crystal structure in Alexandria, relaxed with PBE; Cu Kα).
Peak positions follow from Bragg's law for the DFT cell and can differ from measured ones.

Main lines, sorted by position (5° ≤ 2θ ≤ 70°):
| 2θ (°) | d/Å | I_rel |
| --- | --- | --- |
| 10.82 | 8.178 | 16.8 |
| 22.96 | 3.873 | 1.8 |
| 33.63 | 2.665 | 5.2 |
| 38.80 | 2.321 | 100.0 |
| 44.30 | 2.045 | 16.7 |
| 45.51 | 1.993 | 30.7 |
| 46.33 | 1.960 | 1.8 |
| 46.92 | 1.936 | 1.8 |
| 65.39 | 1.427 | 19.2 |
| 66.32 | 1.409 | 9.2 |

a = 3.9863 Å, b = 3.9863 Å, c = 16.3564 Å
α = 90.00°, β = 90.00°, γ = 90.00°
Positions (direct):
1 Ti 0.0000 0.0000 0.0000
2 Ti 0.0000 0.5000 0.1255
3 Ti 0.0000 0.5000 0.3745
4 Ti 0.0000 0.5000 0.6255
5 Ti 0.0000 0.5000 0.8745
6 Ti 0.5000 0.0000 0.1255
7 Ti 0.5000 0.0000 0.3745
8 Ti 0.5000 0.0000 0.6255
9 Ti 0.5000 0.0000 0.8745
10 Ti 0.5000 0.5000 0.5000
11 Al 0.0000 0.0000 0.2493
12 Al 0.0000 0.0000 0.7507
13 Al 0.5000 0.5000 0.2507
14 Al 0.5000 0.5000 0.7493
15 Ga 0.0000 0.0000 0.5000
16 Ga 0.5000 0.5000 0.0000

Structure and simulated XRD peak list of Ti4Zn3Cu (a crystal structure in Alexandria, relaxed with PBE; Cu Kα).
Peak positions follow from Bragg's law for the DFT cell and can differ from measured ones.

Main lines, sorted by position (5° ≤ 2θ ≤ 70°):
| 2θ (°) | d/Å | I_rel |
| --- | --- | --- |
| 28.21 | 3.164 | 2.6 |
| 28.65 | 3.116 | 4.9 |
| 40.64 | 2.220 | 100.0 |
| 40.96 | 2.203 | 48.9 |
| 50.47 | 1.808 | 2.4 |
| 58.33 | 1.582 | 8.0 |
| 59.31 | 1.558 | 15.1 |
| 66.26 | 1.411 | 1.0 |
| 66.95 | 1.398 | 1.0 |
| 67.17 | 1.394 | 1.0 |

a = 8.8135 Å, b = 6.3276 Å, c = 4.4070 Å
α = 90.00°, β = 90.00°, γ = 90.00°
Positions (direct):
1 Ti 0.0000 0.2464 0.0000
2 Ti 0.0000 0.7536 0.0000
3 Ti 0.2500 0.2464 0.4985
4 Ti 0.2500 0.7536 0.4985
5 Ti 0.5000 0.2464 0.0000
6 Ti 0.5000 0.7536 0.0000
7 Ti 0.7500 0.2464 0.5015
8 Ti 0.7500 0.7536 0.5015
9 Zn 0.0000 0.5000 0.5000
10 Zn 0.2500 0.0000 0.9981
11 Zn 0.2500 0.5000 0.9984
12 Zn 0.5000 0.5000 0.5000
13 Zn 0.7500 0.0000 0.0019
14 Zn 0.7500 0.5000 0.0016
15 Cu 0.0000 0.0000 0.5000
16 Cu 0.5000 0.0000 0.5000

Structure and simulated XRD peak list of Li3B4C4 (a crystal structure in Alexandria, relaxed with PBE; Cu Kα).
Peak positions follow from Bragg's law for the DFT cell and can differ from measured ones.

Main lines, sorted by position (5° ≤ 2θ ≤ 70°):
| 2θ (°) | d/Å | I_rel |
| --- | --- | --- |
| 16.56 | 5.353 | 1.2 |
| 19.81 | 4.482 | 1.0 |
| 24.86 | 3.582 | 100.0 |
| 25.15 | 3.541 | 1.2 |
| 38.13 | 2.360 | 8.4 |
| 40.23 | 2.241 | 2.3 |
| 46.06 | 1.971 | 53.4 |
| 50.99 | 1.791 | 17.4 |
| 65.38 | 1.427 | 0.9 |
| 68.92 | 1.362 | 17.8 |

a = 7.6676 Å, b = 7.6676 Å, c = 5.4517 Å
α = 100.36°, β = 100.36°, γ = 35.84°
Positions (direct):
1 Li 0.1245 0.1245 0.0623
2 Li 0.3735 0.3764 0.6796
3 Li 0.3749 0.3740 0.1952
4 Li 0.6236 0.6265 0.3204
5 Li 0.6260 0.6251 0.8048
6 Li 0.8755 0.8755 0.9377
7 B 0.0831 0.4131 0.3758
8 B 0.0855 0.4118 0.8726
9 B 0.1630 0.8370 0.2534
10 B 0.1630 0.8370 0.7466
11 B 0.5869 0.9169 0.6242
12 B 0.5882 0.9145 0.1274
13 B 0.6655 0.3345 0.0000
14 B 0.6696 0.3304 0.5000
15 C 0.3290 0.6710 0.0000
16 C 0.3362 0.6638 0.5000
17 C 0.4171 0.0829 0.3744
18 C 0.4237 0.0829 0.8771
19 C 0.8320 0.1681 0.2490
20 C 0.8319 0.1680 0.7510
21 C 0.9171 0.5763 0.1229
22 C 0.9171 0.5829 0.6256

Structure and simulated XRD peak list of PaPRuN (a crystal structure in Alexandria, relaxed with PBE; Cu Kα).
Peak positions follow from Bragg's law for the DFT cell and can differ from measured ones.

Main lines, sorted by position (5° ≤ 2θ ≤ 70°):
| 2θ (°) | d/Å | I_rel |
| --- | --- | --- |
| 25.11 | 3.547 | 73.6 |
| 32.14 | 2.785 | 100.0 |
| 33.84 | 2.649 | 62.4 |
| 34.54 | 2.597 | 25.6 |
| 39.48 | 2.283 | 35.6 |
| 45.54 | 1.992 | 44.2 |
| 52.70 | 1.737 | 21.3 |
| 56.82 | 1.620 | 40.4 |
| 57.53 | 1.602 | 33.6 |
| 58.39 | 1.581 | 23.9 |

a = 3.9839 Å, b = 3.9839 Å, c = 7.7905 Å
α = 90.00°, β = 90.00°, γ = 90.00°
Positions (direct):
1 Pa 0.2500 0.2500 0.1485
2 Pa 0.7500 0.7500 0.8515
3 P 0.2500 0.2500 0.6550
4 P 0.7500 0.7500 0.3450
5 Ru 0.2500 0.7500 0.5000
6 Ru 0.7500 0.2500 0.5000
7 N 0.2500 0.7500 0.0000
8 N 0.7500 0.2500 0.0000

Structure and simulated XRD peak list of Nd4S3NCl3 (a crystal structure in Alexandria, relaxed with PBE; Cu Kα).
Peak positions follow from Bragg's law for the DFT cell and can differ from measured ones.

Main lines, sorted by position (5° ≤ 2θ ≤ 70°):
| 2θ (°) | d/Å | I_rel |
| --- | --- | --- |
| 10.89 | 8.123 | 29.7 |
| 21.88 | 4.061 | 28.9 |
| 25.47 | 3.497 | 100.0 |
| 25.92 | 3.438 | 33.0 |
| 31.92 | 2.803 | 32.8 |
| 34.17 | 2.624 | 47.0 |
| 35.64 | 2.519 | 52.7 |
| 38.39 | 2.345 | 31.3 |
| 39.35 | 2.290 | 20.3 |
| 45.44 | 1.996 | 33.4 |

a = 9.3792 Å, b = 9.3792 Å, c = 6.8760 Å
α = 90.00°, β = 90.00°, γ = 120.00°
Positions (direct):
1 Nd 0.2022 0.4044 0.0000
2 Nd 0.2022 0.7978 0.0000
3 Nd 0.3333 0.6667 0.5344
4 Nd 0.4044 0.2022 0.5000
5 Nd 0.5956 0.7978 0.0000
6 Nd 0.6667 0.3333 0.0344
7 Nd 0.7978 0.2022 0.5000
8 Nd 0.7978 0.5956 0.5000
9 S 0.0652 0.5326 0.2782
10 S 0.4674 0.5326 0.2782
11 S 0.4674 0.9348 0.2782
12 S 0.5326 0.0652 0.7782
13 S 0.5326 0.4674 0.7782
14 S 0.9348 0.4674 0.7782
15 N 0.3333 0.6667 0.8794
16 N 0.6667 0.3333 0.3794
17 Cl 0.1314 0.2629 0.6106
18 Cl 0.1314 0.8686 0.6106
19 Cl 0.2629 0.1314 0.1106
20 Cl 0.7371 0.8686 0.6106
21 Cl 0.8686 0.1314 0.1106
22 Cl 0.8686 0.7371 0.1106